(1)
The following is a computed X-ray diffraction stick pattern of SmBRh3. It was derived from a PBE-relaxed structure, using Cu Kα X-rays.

The 10 most intense peaks (2θ from 10° to 90°), by angle:
- (1 0 0), 20.9°, rel. 2
- (1 1 0), 29.8°, rel. 3
- (1 1 1), 36.7°, rel. 100
- (2 0 0), 42.6°, rel. 52
- (2 1 0), 48.0°, rel. 1
- (2 1 1), 52.9°, rel. 1
- (2 2 0), 61.9°, rel. 34
- (3 1 1), 74.1°, rel. 38
- (2 2 2), 78.0°, rel. 11
- (3 2 1), 85.7°, rel. 1

Structure:
a b c (Å): 4.2418 4.2418 4.2418
angles (deg): 90.00 90.00 90.00
Space group Pm-3m (No. 221)
Inequivalent atoms, fractional coordinates:
Sm1 0.0000 0.0000 0.0000 x1
B1 0.5000 0.5000 0.5000 x1
Rh1 0.0000 0.5000 0.5000 x3

---

(2)
The following is a computed X-ray diffraction stick pattern of Sn5B2Rh6. It was derived from a PBE-relaxed structure, using Cu Kα X-rays.

The 10 most intense peaks (2θ from 10° to 90°), by angle:
- (1 1 1), 31.1°, rel. 90
- (2 0 1), 34.9°, rel. 33
- (1 0 2), 35.5°, rel. 44
- (2 1 0), 41.3°, rel. 86
- (1 1 2), 42.0°, rel. 100
- (3 0 0), 47.1°, rel. 28
- (1 1 3), 56.2°, rel. 17
- (3 1 2), 67.2°, rel. 28
- (4 0 2), 73.7°, rel. 21
- (2 1 4), 81.3°, rel. 24

Structure:
a b c (Å): 6.6773 6.6773 5.6322
angles (deg): 90.00 90.00 120.00
Space group P-62m (No. 189)
Inequivalent atoms, fractional coordinates:
Sn1 0.0000 0.5959 0.0000 x3
Sn2 0.3333 0.6667 0.5000 x2
B1 0.0000 0.0000 0.0000 x1
B2 0.0000 0.0000 0.5000 x1
Rh1 0.0000 0.2512 0.2529 x6